# Ba3LaCl9
Simulated powder X-ray diffraction pattern, Cu Kα (weighted mean of Kα1 and Kα2). Input: a DFT-relaxed cell (PBE, the Materials Project).
No peak broadening, texture or thermal motion is included.

```
52
Lattice="12.521 0.000 0.000 0.000 7.349 0.000 0.000 0.000 18.520" Properties=species:S:1:pos:R:3 pbc="T T T"
Ba 0.623 1.837 1.743
Ba 2.359 1.837 9.774
Ba 2.921 5.511 6.023
Ba 3.340 1.837 15.283
Ba 3.902 5.511 0.514
Ba 5.637 5.511 11.002
Ba 6.884 1.837 7.517
Ba 8.619 1.837 18.006
Ba 9.182 5.511 3.237
Ba 9.600 1.837 12.497
Ba 10.163 5.511 8.746
Ba 11.898 5.511 16.777
La 0.416 5.511 12.525
La 5.844 1.837 3.265
La 6.677 5.511 15.255
La 12.105 1.837 5.995
Cl 0.790 3.761 7.680
Cl 0.790 7.262 7.680
Cl 0.990 0.083 14.333
Cl 0.990 3.591 14.333
Cl 1.736 3.680 17.789
Cl 1.736 7.343 17.789
Cl 2.011 1.837 4.680
Cl 2.212 5.511 2.971
Cl 2.469 5.511 10.694
Cl 3.792 1.837 1.434
Cl 4.049 1.837 12.231
Cl 4.249 5.511 13.940
Cl 4.525 0.006 8.530
Cl 4.525 3.669 8.530
Cl 5.271 3.757 5.073
Cl 5.271 7.266 5.073
Cl 5.471 0.087 16.940
Cl 5.471 3.587 16.940
Cl 7.051 3.761 1.580
Cl 7.051 7.262 1.580
Cl 7.250 0.083 13.447
Cl 7.250 3.591 13.447
Cl 7.997 3.680 9.990
Cl 7.997 7.343 9.990
Cl 8.272 1.837 4.580
Cl 8.473 5.511 6.289
Cl 8.730 5.511 17.085
Cl 10.052 1.837 7.826
Cl 10.309 1.837 15.549
Cl 10.510 5.511 13.840
Cl 10.785 0.006 0.730
Cl 10.785 3.669 0.730
Cl 11.532 3.757 4.187
Cl 11.532 7.266 4.187
Cl 11.731 0.087 10.840
Cl 11.731 3.587 10.840
```

Largest 10 diffraction maxima, by intensity, 2θ = 10–90°:
d (Å), I (rel.), hkl
4.615, 100, 2 1 1
4.422, 60, 1 1 3
3.739, 44, 1 1 4
2.554, 36, 1 2 5
3.674, 31, 0 2 0
2.792, 31, 4 0 3
2.643, 30, 3 2 2
2.805, 24, 1 2 4
2.351, 23, 5 1 1
2.313, 20, 2 1 7